No. 1
Structure and computed X-ray powder pattern of BaCd2Te2F2 (a structure optimized by DFT (GGA-PBE); Cu Kα X-rays).
Intensities are scaled so that the largest is 100.

Largest 6 diffraction maxima, by angle, 15° ≤ 2θ ≤ 90°:
- 2θ = 27.6°, I 73
- 2θ = 32.0°, I 37
- 2θ = 33.7°, I 100
- 2θ = 35.3°, I 84
- 2θ = 44.1°, I 53
- 2θ = 56.6°, I 44

Crystal structure
Cell: 4.105 4.105 10.482 Å, 90.00 90.00 90.00°
Space group P-4m2 (No. 115)
One atom of each set of equivalent atoms:
Ba 0.000 0.000 0.000 x1
Cd 0.000 0.500 0.625 x2
Te 0.000 0.500 0.244 x2
F 0.000 0.000 0.500 x1
F 0.500 0.500 0.500 x1

No. 2
Structure and computed X-ray powder pattern of BaCdGa2Ir (a structure optimized by DFT (GGA-PBE); Cu Kα X-rays).
Intensities are scaled so that the largest is 100.

Largest 6 diffraction maxima, by angle, 15° ≤ 2θ ≤ 90°:
- 2θ = 31.2°, I 35
- 2θ = 32.2°, I 100
- 2θ = 39.8°, I 47
- 2θ = 43.1°, I 30
- 2θ = 57.5°, I 35
- 2θ = 67.5°, I 31

Crystal structure
Cell: 4.533 4.533 11.118 Å, 90.00 90.00 90.00°
Space group I-4m2 (No. 119)
One atom of each set of equivalent atoms:
Ba 0.000 0.000 0.000 x2
Cd 0.000 0.500 0.250 x2
Ga 0.000 0.000 0.371 x4
Ir 0.000 0.500 0.750 x2

No. 3
Structure and computed X-ray powder pattern of BaCdGeSe4 (a structure optimized by DFT (GGA-PBE); Cu Kα X-rays).
Intensities are scaled so that the largest is 100.

Largest 6 diffraction maxima, by angle, 15° ≤ 2θ ≤ 90°:
- 2θ = 21.8°, I 64
- 2θ = 27.2°, I 38
- 2θ = 27.8°, I 42
- 2θ = 28.3°, I 46
- 2θ = 30.9°, I 37
- 2θ = 34.8°, I 100

Crystal structure
Cell: 22.504 23.163 13.427 Å, 90.00 90.00 90.00°
Space group Fdd2 (No. 43)
One atom of each set of equivalent atoms:
Ba 0.000 0.000 0.000 x8
Ba 0.000 0.000 0.489 x8
Ba 0.003 0.249 0.994 x16
Cd 0.075 0.375 0.282 x16
Cd 0.113 0.376 0.750 x16
Ge 0.066 0.125 0.205 x16
Ge 0.111 0.125 0.748 x16
Se 0.027 0.375 0.618 x16
Se 0.035 0.124 0.870 x16
Se 0.040 0.127 0.377 x16
Se 0.047 0.375 0.092 x16
Se 0.116 0.043 0.639 x16
Se 0.116 0.208 0.641 x16
Se 0.118 0.042 0.143 x16
Se 0.118 0.208 0.140 x16

No. 4
Structure and computed X-ray powder pattern of Ba2ZnCdGe2 (a structure optimized by DFT (GGA-PBE); Cu Kα X-rays).
Intensities are scaled so that the largest is 100.

Largest 6 diffraction maxima, by angle, 15° ≤ 2θ ≤ 90°:
- 2θ = 28.9°, I 100
- 2θ = 37.0°, I 16
- 2θ = 38.9°, I 43
- 2θ = 49.2°, I 22
- 2θ = 54.8°, I 31
- 2θ = 64.4°, I 20

Crystal structure
Cell: 4.6299 4.6299 9.7117 Å, 90.00 90.00 120.00°
Space group P-6m2 (No. 187)
One atom of each set of equivalent atoms:
Ba 0.0000 0.0000 0.2456 x2
Zn 0.6667 0.3333 0.0000 x1
Cd 0.3333 0.6667 0.5000 x1
Ge 0.3333 0.6667 0.0000 x1
Ge 0.6667 0.3333 0.5000 x1

No. 5
Structure and computed X-ray powder pattern of Ba2Cd3P4H2O16 (a structure optimized by DFT (GGA-PBE); Cu Kα X-rays).
Intensities are scaled so that the largest is 100.

Largest 6 diffraction maxima, by angle, 15° ≤ 2θ ≤ 90°:
- 2θ = 19.7°, I 66
- 2θ = 25.3°, I 56
- 2θ = 27.6°, I 57
- 2θ = 27.8°, I 65
- 2θ = 30.5°, I 56
- 2θ = 32.2°, I 100

Crystal structure
Cell: 8.066 9.138 9.829 Å, 90.00 100.70 90.00°
Space group P2_1/c (No. 14)
One atom of each set of equivalent atoms:
Ba 0.077 0.020 0.232 x4
Cd 0.393 0.640 0.392 x4
Cd 0.500 0.000 0.500 x2
P 0.144 0.716 0.052 x4
P 0.359 0.202 0.772 x4
H 0.108 0.166 0.583 x4
O 0.048 0.163 0.478 x4
O 0.150 0.622 0.504 x4
O 0.166 0.175 0.728 x4
O 0.190 0.701 0.210 x4
O 0.248 0.622 0.969 x4
O 0.391 0.135 0.308 x4
O 0.432 0.101 0.895 x4
O 0.444 0.173 0.645 x4

No. 6
Structure and computed X-ray powder pattern of Ba2CdP4H6O16 (a structure optimized by DFT (GGA-PBE); Cu Kα X-rays).
Intensities are scaled so that the largest is 100.

Largest 6 diffraction maxima, by angle, 15° ≤ 2θ ≤ 90°:
- 2θ = 19.1°, I 79
- 2θ = 26.8°, I 75
- 2θ = 26.9°, I 70
- 2θ = 27.6°, I 69
- 2θ = 31.0°, I 79
- 2θ = 33.2°, I 100

Crystal structure
Cell: 5.402 10.056 12.253 Å, 90.00 100.41 90.00°
Space group P2_1/c (No. 14)
One atom of each set of equivalent atoms:
Ba 0.141 0.156 0.325 x4
Cd 0.000 0.000 0.000 x2
P 0.238 0.694 0.946 x4
P 0.413 0.012 0.800 x4
H 0.296 0.531 0.069 x4
H 0.368 0.676 0.758 x4
H 0.430 0.180 0.064 x4
O 0.069 0.726 0.509 x4
O 0.161 0.693 0.821 x4
O 0.167 0.015 0.845 x4
O 0.240 0.544 0.983 x4
O 0.366 0.060 0.124 x4
O 0.373 0.557 0.186 x4
O 0.476 0.238 0.520 x4
O 0.487 0.162 0.786 x4

No. 7
Structure and computed X-ray powder pattern of BaHoCdP2 (a structure optimized by DFT (GGA-PBE); Cu Kα X-rays).
Intensities are scaled so that the largest is 100.

Largest 6 diffraction maxima, by angle, 15° ≤ 2θ ≤ 90°:
- 2θ = 25.3°, I 68
- 2θ = 27.7°, I 60
- 2θ = 32.8°, I 77
- 2θ = 32.9°, I 100
- 2θ = 34.0°, I 68
- 2θ = 37.0°, I 89

Crystal structure
Cell: 4.194 17.881 6.900 Å, 90.00 90.00 90.00°
Space group Cmc2_1 (No. 36)
One atom of each set of equivalent atoms:
Ba 0.000 0.197 0.000 x4
Ho 0.000 0.028 0.307 x4
Cd 0.000 0.395 0.140 x4
P 0.000 0.166 0.485 x4
P 0.000 0.455 0.517 x4

No. 8
Structure and computed X-ray powder pattern of BaCd2InPb (a structure optimized by DFT (GGA-PBE); Cu Kα X-rays).
Intensities are scaled so that the largest is 100.

Largest 6 diffraction maxima, by angle, 15° ≤ 2θ ≤ 90°:
- 2θ = 28.0°, I 31
- 2θ = 29.0°, I 100
- 2θ = 35.8°, I 58
- 2θ = 38.7°, I 39
- 2θ = 51.5°, I 20
- 2θ = 60.2°, I 28

Crystal structure
Cell: 5.015 5.015 12.356 Å, 90.00 90.00 90.00°
Space group P4/nmm (No. 129, origin choice 2)
One atom of each set of equivalent atoms:
Ba 0.250 0.250 0.242 x2
Cd 0.250 0.250 0.645 x2
Cd 0.250 0.750 0.000 x2
In 0.250 0.250 0.874 x2
Pb 0.250 0.750 0.500 x2

Please write out number 7 again, unchanged.
Structure and computed X-ray powder pattern of BaHoCdP2 (a structure optimized by DFT (GGA-PBE); Cu Kα X-rays).
Intensities are scaled so that the largest is 100.

Largest 6 diffraction maxima, by angle, 15° ≤ 2θ ≤ 90°:
- 2θ = 25.3°, I 68
- 2θ = 27.7°, I 60
- 2θ = 32.8°, I 77
- 2θ = 32.9°, I 100
- 2θ = 34.0°, I 68
- 2θ = 37.0°, I 89

Crystal structure
Cell: 4.194 17.881 6.900 Å, 90.00 90.00 90.00°
Space group Cmc2_1 (No. 36)
One atom of each set of equivalent atoms:
Ba 0.000 0.197 0.000 x4
Ho 0.000 0.028 0.307 x4
Cd 0.000 0.395 0.140 x4
P 0.000 0.166 0.485 x4
P 0.000 0.455 0.517 x4